For CeTl5Cl8, a cell relaxed with PBE gives the computed X-ray diffraction stick pattern in this record (Cu Kα, 1.54184 Å).
Peak positions follow from Bragg's law for the DFT cell and can differ from measured ones.

```
data_CeTl5Cl8
_cell_length_a 7.903
_cell_length_b 8.061
_cell_length_c 8.670
_cell_angle_alpha 107.88
_cell_angle_beta 106.94
_cell_angle_gamma 108.45
_symmetry_space_group_name_H-M 'P 1'
_symmetry_Int_Tables_number 1
loop_
_symmetry_equiv_pos_as_xyz
'x,y,z'
loop_
_atom_site_label
_atom_site_type_symbol
_atom_site_fract_x
_atom_site_fract_y
_atom_site_fract_z
Ce1 Ce 0.000 0.000 0.000
Tl1 Tl 0.153 0.915 0.524
Tl2 Tl 0.319 0.565 0.875
Tl3 Tl 0.503 0.617 0.439
Tl4 Tl 0.673 0.166 0.357
Tl5 Tl 0.760 0.390 0.927
Cl1 Cl 0.029 0.340 0.243
Cl2 Cl 0.233 0.837 0.169
Cl3 Cl 0.391 0.253 0.077
Cl4 Cl 0.420 0.313 0.580
Cl5 Cl 0.588 0.913 0.824
Cl6 Cl 0.793 0.822 0.179
Cl7 Cl 0.925 0.667 0.709
Cl8 Cl 0.954 0.141 0.727
```

Peak list (10 most intense, 2θ from 10° to 90°, in order of falling intensity)
3.899 Å, 2θ 22.81, rel. 100; 3.080 Å, 2θ 28.99, rel. 91; 4.008 Å, 2θ 22.18, rel. 87; 3.747 Å, 2θ 23.75, rel. 67; 3.037 Å, 2θ 29.41, rel. 66; 2.074 Å, 2θ 43.65, rel. 65; 3.826 Å, 2θ 23.25, rel. 65; 4.200 Å, 2θ 21.15, rel. 59; 3.808 Å, 2θ 23.36, rel. 59; 3.724 Å, 2θ 23.90, rel. 55



For TiHgIrRu, a cell relaxed with PBE gives the computed X-ray diffraction stick pattern in this record (Cu Kα, 1.54184 Å).
Peak positions follow from Bragg's law for the DFT cell and can differ from measured ones.

```
data_TiHgIrRu
_cell_length_a 3.749
_cell_length_b 4.103
_cell_length_c 4.115
_cell_angle_alpha 90.00
_cell_angle_beta 90.00
_cell_angle_gamma 90.00
_symmetry_space_group_name_H-M 'P m m m'
_symmetry_Int_Tables_number 47
loop_
_symmetry_equiv_pos_as_xyz
'x,y,z'
'-x,-y,-z'
'-x,-y,z'
'x,y,-z'
'x,-y,-z'
'-x,y,z'
'-x,y,-z'
'x,-y,z'
loop_
_atom_site_label
_atom_site_type_symbol
_atom_site_fract_x
_atom_site_fract_y
_atom_site_fract_z
Ti1 Ti 0.000 0.000 0.000
Hg1 Hg 0.000 0.500 0.500
Ir1 Ir 0.500 0.000 0.500
Ru1 Ru 0.500 0.500 0.000
```

Peak list (10 most intense, 2θ from 10° to 90°, in order of falling intensity)
2.297 Å, 2θ 39.23, rel. 100; 4.114 Å, 2θ 21.60, rel. 23; 1.148 Å, 2θ 84.35, rel. 22; 2.058 Å, 2θ 44.01, rel. 18; 2.051 Å, 2θ 44.15, rel. 18; 2.768 Å, 2θ 32.34, rel. 18; 1.229 Å, 2θ 77.69, rel. 14; 1.875 Å, 2θ 48.56, rel. 14; 1.226 Å, 2θ 77.89, rel. 14; 1.453 Å, 2θ 64.10, rel. 12



For CoNi5Rh, a cell relaxed with PBE gives the computed X-ray diffraction stick pattern in this record (Cu Kα, 1.54184 Å).
Peak positions follow from Bragg's law for the DFT cell and can differ from measured ones.

```
data_CoNi5Rh
_cell_length_a 4.953
_cell_length_b 7.435
_cell_length_c 4.870
_cell_angle_alpha 90.00
_cell_angle_beta 107.56
_cell_angle_gamma 90.00
_symmetry_space_group_name_H-M 'C 1 m 1'
_symmetry_Int_Tables_number 8
loop_
_symmetry_equiv_pos_as_xyz
'x,y,z'
'x,-y,z'
'x+1/2,y+1/2,z'
'x+1/2,-y+1/2,z'
loop_
_atom_site_label
_atom_site_type_symbol
_atom_site_fract_x
_atom_site_fract_y
_atom_site_fract_z
Co1 Co 0.000 0.000 0.000
Ni1 Ni 0.177 0.291 0.165
Ni2 Ni 0.269 0.246 0.709
Ni3 Ni 0.463 0.500 0.498
Rh1 Rh 0.441 0.000 0.436
```

Peak list (10 most intense, 2θ from 10° to 90°, in order of falling intensity)
1.969 Å, 2θ 46.10, rel. 100; 1.993 Å, 2θ 45.51, rel. 97; 1.981 Å, 2θ 45.80, rel. 55; 1.859 Å, 2θ 49.01, rel. 39; 2.902 Å, 2θ 30.81, rel. 33; 2.101 Å, 2θ 43.05, rel. 27; 2.028 Å, 2θ 44.68, rel. 26; 2.703 Å, 2θ 33.14, rel. 22; 1.355 Å, 2θ 69.32, rel. 22; 1.887 Å, 2θ 48.23, rel. 20



For Pm12Ge2Pt5, a cell relaxed with PBE gives the computed X-ray diffraction stick pattern in this record (Cu Kα, 1.54184 Å).
Peak positions follow from Bragg's law for the DFT cell and can differ from measured ones.

```
data_Pm12Ge2Pt5
_cell_length_a 17.011
_cell_length_b 7.204
_cell_length_c 9.403
_cell_angle_alpha 90.00
_cell_angle_beta 105.74
_cell_angle_gamma 90.00
_symmetry_space_group_name_H-M 'C 1 2/m 1'
_symmetry_Int_Tables_number 12
loop_
_symmetry_equiv_pos_as_xyz
'x,y,z'
'-x,-y,-z'
'-x,y,-z'
'x,-y,z'
'x+1/2,y+1/2,z'
'-x+1/2,-y+1/2,-z'
'-x+1/2,y+1/2,-z'
'x+1/2,-y+1/2,z'
loop_
_atom_site_label
_atom_site_type_symbol
_atom_site_fract_x
_atom_site_fract_y
_atom_site_fract_z
Pm1 Pm 0.001 0.000 0.218
Pm2 Pm 0.030 0.500 0.313
Pm3 Pm 0.149 0.255 0.060
Pm4 Pm 0.180 0.240 0.607
Ge1 Ge 0.000 0.185 0.500
Pt1 Pt 0.000 0.500 0.000
Pt2 Pt 0.180 0.000 0.335
Pt3 Pt 0.205 0.000 0.864
```

Peak list (10 most intense, 2θ from 10° to 90°, in order of falling intensity)
2.816 Å, 2θ 31.77, rel. 100; 2.533 Å, 2θ 35.44, rel. 85; 2.729 Å, 2θ 32.82, rel. 76; 3.937 Å, 2θ 22.58, rel. 58; 2.351 Å, 2θ 38.29, rel. 57; 4.350 Å, 2θ 20.41, rel. 52; 2.704 Å, 2θ 33.13, rel. 46; 2.150 Å, 2θ 42.02, rel. 38; 1.801 Å, 2θ 50.69, rel. 30; 3.549 Å, 2θ 25.09, rel. 30



For Sr3AlO4F, a cell relaxed with PBE gives the computed X-ray diffraction stick pattern in this record (Cu Kα, 1.54184 Å).
Peak positions follow from Bragg's law for the DFT cell and can differ from measured ones.

```
data_Sr3AlO4F
_cell_length_a 6.833
_cell_length_b 6.833
_cell_length_c 11.261
_cell_angle_alpha 90.00
_cell_angle_beta 90.00
_cell_angle_gamma 90.00
_symmetry_space_group_name_H-M 'I 4/m c m'
_symmetry_Int_Tables_number 140
_symmetry_space_group_name_Hall '-I 4 2c'
loop_
_atom_site_label
_atom_site_type_symbol
_atom_site_fract_x
_atom_site_fract_y
_atom_site_fract_z
Sr1 Sr 0.000 0.000 0.250
Sr2 Sr 0.169 0.331 0.000
Al1 Al 0.000 0.500 0.250
O1 O 0.142 0.358 0.352
F1 F 0.000 0.000 0.000
```

Peak list (10 most intense, 2θ from 10° to 90°, in order of falling intensity)
2.370 Å, 2θ 37.97, rel. 100; 2.921 Å, 2θ 30.61, rel. 96; 2.949 Å, 2θ 30.30, rel. 58; 2.161 Å, 2θ 41.80, rel. 49; 2.815 Å, 2θ 31.79, rel. 42; 2.416 Å, 2θ 37.22, rel. 29; 3.667 Å, 2θ 24.27, rel. 28; 1.813 Å, 2θ 50.33, rel. 25; 1.833 Å, 2θ 49.73, rel. 23; 1.714 Å, 2θ 53.45, rel. 22



For Nd5Er2Th2, a cell relaxed with PBE gives the computed X-ray diffraction stick pattern in this record (Cu Kα, 1.54184 Å).
Peak positions follow from Bragg's law for the DFT cell and can differ from measured ones.

```
data_Nd5Er2Th2
_cell_length_a 6.148
_cell_length_b 6.861
_cell_length_c 8.611
_cell_angle_alpha 78.40
_cell_angle_beta 69.29
_cell_angle_gamma 64.36
_symmetry_space_group_name_H-M 'P -1'
_symmetry_Int_Tables_number 2
loop_
_symmetry_equiv_pos_as_xyz
'x,y,z'
'-x,-y,-z'
loop_
_atom_site_label
_atom_site_type_symbol
_atom_site_fract_x
_atom_site_fract_y
_atom_site_fract_z
Nd1 Nd 0.000 0.000 0.000
Nd2 Nd 0.391 0.682 0.658
Nd3 Nd 0.494 0.869 0.240
Er1 Er 0.194 0.428 0.122
Th1 Th 0.039 0.234 0.549
```

Peak list (10 most intense, 2θ from 10° to 90°, in order of falling intensity)
2.813 Å, 2θ 31.81, rel. 100; 2.939 Å, 2θ 30.41, rel. 63; 2.800 Å, 2θ 31.96, rel. 48; 2.837 Å, 2θ 31.54, rel. 48; 3.074 Å, 2θ 29.05, rel. 44; 1.881 Å, 2θ 48.39, rel. 20; 2.143 Å, 2θ 42.18, rel. 17; 2.107 Å, 2θ 42.93, rel. 16; 1.704 Å, 2θ 53.79, rel. 15; 1.674 Å, 2θ 54.84, rel. 14



For NiHg2Cl6, a cell relaxed with PBE gives the computed X-ray diffraction stick pattern in this record (Cu Kα, 1.54184 Å).
Peak positions follow from Bragg's law for the DFT cell and can differ from measured ones.

```
data_NiHg2Cl6
_cell_length_a 6.6581
_cell_length_b 6.6581
_cell_length_c 19.1738
_cell_angle_alpha 90.00
_cell_angle_beta 90.00
_cell_angle_gamma 120.00
_symmetry_space_group_name_H-M 'R -3'
_symmetry_Int_Tables_number 148
_symmetry_space_group_name_Hall '-R 3'
loop_
_atom_site_label
_atom_site_type_symbol
_atom_site_fract_x
_atom_site_fract_y
_atom_site_fract_z
Ni1 Ni 0.0000 0.0000 0.0000
Hg1 Hg 0.0000 0.0000 0.3320
Cl1 Cl 0.0015 0.2980 0.0723
```

Peak list (10 most intense, 2θ from 10° to 90°, in order of falling intensity)
6.391 Å, 2θ 13.86, rel. 100; 2.953 Å, 2θ 30.27, rel. 84; 2.305 Å, 2θ 39.07, rel. 59; 3.329 Å, 2θ 26.78, rel. 32; 1.794 Å, 2θ 50.89, rel. 25; 1.841 Å, 2θ 49.52, rel. 24; 1.922 Å, 2θ 47.29, rel. 22; 1.476 Å, 2θ 62.96, rel. 15; 1.611 Å, 2θ 57.18, rel. 15; 1.235 Å, 2θ 77.28, rel. 12



For U5Se6, a cell relaxed with PBE gives the computed X-ray diffraction stick pattern in this record (Cu Kα, 1.54184 Å).
Peak positions follow from Bragg's law for the DFT cell and can differ from measured ones.

```
data_U5Se6
_cell_length_a 7.023
_cell_length_b 12.205
_cell_length_c 6.910
_cell_angle_alpha 90.00
_cell_angle_beta 110.15
_cell_angle_gamma 90.00
_symmetry_space_group_name_H-M 'C 1 2/m 1'
_symmetry_Int_Tables_number 12
loop_
_symmetry_equiv_pos_as_xyz
'x,y,z'
'-x,-y,-z'
'-x,y,-z'
'x,-y,z'
'x+1/2,y+1/2,z'
'-x+1/2,-y+1/2,-z'
'-x+1/2,y+1/2,-z'
'x+1/2,-y+1/2,z'
loop_
_atom_site_label
_atom_site_type_symbol
_atom_site_fract_x
_atom_site_fract_y
_atom_site_fract_z
U1 U 0.000 0.000 0.000
U2 U 0.000 0.165 0.500
U3 U 0.000 0.328 0.000
Se1 Se 0.238 0.340 0.737
Se2 Se 0.238 0.500 0.253
```

Peak list (10 most intense, 2θ from 10° to 90°, in order of falling intensity)
2.848 Å, 2θ 31.41, rel. 100; 2.856 Å, 2θ 31.32, rel. 54; 2.029 Å, 2θ 44.66, rel. 38; 2.004 Å, 2θ 45.24, rel. 37; 3.314 Å, 2θ 26.91, rel. 24; 1.657 Å, 2θ 55.46, rel. 20; 2.034 Å, 2θ 44.54, rel. 19; 1.994 Å, 2θ 45.49, rel. 18; 1.283 Å, 2θ 73.84, rel. 17; 3.295 Å, 2θ 27.07, rel. 16